This entry pairs a crystal structure of ThFe4Co with its computed powder XRD pattern. Radiation: Cu Kα, 1.54184 Å. Structure: a crystal structure in the Materials Project, relaxed with PBE.
Lines closer than 0.1° are merged.

The 10 most intense peaks (2θ from 5° to 70°), sorted by position:
d 4.388, I 19
d 4.053, I 15
d 2.977, I 75
d 2.533, I 40
d 2.194, I 38
d 2.148, I 100
d 2.026, I 23
d 1.582, I 19
d 1.489, I 22
d 1.376, I 15

Atomic structure:
```
ThFe4Co
1.0
4.053 0.000 0.000
0.000 5.072 0.000
0.000 0.000 8.766
Th Fe Co
2 8 2
direct
0.000 0.000 0.000
0.000 0.500 0.500
0.000 0.000 0.667
0.000 0.500 0.167
0.500 0.000 0.500
0.500 0.250 0.250
0.500 0.250 0.750
0.500 0.500 0.000
0.500 0.750 0.250
0.500 0.750 0.750
0.000 0.000 0.333
0.000 0.500 0.833
```